DyFeB4: calculated PXRD pattern (copper Kα), based on a DFT-relaxed cell (PBE, OQMD).

Cell lengths 5.881, 11.380, 3.374 Å; angles 90.00, 90.00, 90.00 degrees
Space group Pbam (No. 55)
Symmetry-distinct sites (fractional):
Dy 0.127 0.150 0.000 [4 per cell]
Fe 0.133 0.412 0.000 [4 per cell]
B 0.024 0.690 0.500 [4 per cell]
B 0.111 0.546 0.500 [4 per cell]
B 0.139 0.968 0.500 [4 per cell]
B 0.217 0.817 0.500 [4 per cell]

Top 6 peaks for 15° ≤ 2θ ≤ 90°, by angle:
- (1 2 0), 2θ 21.73, rel. 24
- (0 0 1), 2θ 26.41, rel. 65
- (1 3 0), 2θ 27.99, rel. 31
- (0 4 0), 2θ 31.43, rel. 86
- (1 3 1), 2θ 38.87, rel. 33
- (0 4 1), 2θ 41.51, rel. 100